UNi5Ge3: calculated powder diffraction line list (λ = 1.5418 Å (Cu Kα)), based on a DFT-relaxed cell (PBE, the Materials Project).

Structure:
Cell lengths 19.0183, 3.8935, 6.7726 Å; angles 90.00, 90.00, 90.00 degrees
Space group Pnma (No. 62)
Inequivalent atoms, fractional coordinates:
U1 0.1455 0.2500 0.1218
Ni1 0.0038 0.7500 0.1310
Ni2 0.0149 0.2500 0.3795
Ni3 0.1090 0.2500 0.6444
Ni4 0.2008 0.7500 0.8069
Ni5 0.2112 0.7500 0.4109
Ge1 0.0762 0.7500 0.8536
Ge2 0.0874 0.7500 0.4071
Ge3 0.2320 0.2500 0.6054

Top 8 peaks for 10 to 90 degrees two-theta, in order of falling intensity:
2theta  d_spacing  Rel. int.  (hkl)
37.97  2.370  1000  3 1 2
35.47  2.531  524  5 0 2
35.58  2.523  437  7 0 1
46.66  1.947  408  0 2 0
59.99  1.542  209  5 2 2
36.56  2.458  206  6 1 0
50.93  1.793  192  9 0 2
44.66  2.029  174  8 1 0